(1)
The following is a simulated powder diffractogram of TbErZnPt. It was derived from DFT lattice parameters and positions (PBE), using Cu Kα, 1.54184 Å.
Neutral-atom scattering factors, no anomalous dispersion.

Lattice parameters (Å, degrees): 3.5435 3.5435 6.9389 90.00 90.00 90.00
Fractional coordinates of all 4 atoms:
Tb 0.0000 0.0000 0.0000
Er 0.0000 0.0000 0.4856
Zn 0.5000 0.5000 0.7373
Pt 0.5000 0.5000 0.2508

Largest 6 diffraction maxima, by angle, 10 to 90 degrees two-theta:
2θ (°)  I (rel.)
12.8  16
35.8  52
36.2  100
51.6  18
64.7  37
65.4  17

(2)
The following is a simulated powder diffractogram of ErTh2Pt3. It was derived from DFT lattice parameters and positions (PBE), using Cu Kα, 1.54184 Å.
Neutral-atom scattering factors, no anomalous dispersion.

Lattice parameters (Å, degrees): 13.8636 13.2176 7.1611 79.72 69.73 30.55
Fractional coordinates of all 24 atoms:
Er 0.0418 0.0418 0.2082
Er 0.2082 0.2082 0.0418
Er 0.7918 0.7918 0.9582
Er 0.9582 0.9582 0.7918
Th 0.1265 0.1265 0.6235
Th 0.2923 0.2923 0.4577
Th 0.3765 0.3765 0.8735
Th 0.4577 0.4577 0.2923
Th 0.5423 0.5423 0.7077
Th 0.6235 0.6235 0.1265
Th 0.7077 0.7077 0.5423
Th 0.8735 0.8735 0.3765
Pt 0.0430 0.5394 0.2044
Pt 0.1212 0.6288 0.6288
Pt 0.2044 0.7132 0.0430
Pt 0.2868 0.7956 0.4606
Pt 0.3712 0.8788 0.8788
Pt 0.4606 0.9570 0.2868
Pt 0.5394 0.0430 0.7132
Pt 0.6288 0.1212 0.1212
Pt 0.7132 0.2044 0.5394
Pt 0.7956 0.2868 0.9570
Pt 0.8788 0.3712 0.3712
Pt 0.9570 0.4606 0.7956

Largest 6 diffraction maxima, by angle, 10 to 90 degrees two-theta:
2θ (°)  I (rel.)
30.5  100
43.2  13
43.6  51
53.8  14
54.5  13
72.0  24

(3)
The following is a simulated powder diffractogram of ErTiPt6. It was derived from DFT lattice parameters and positions (PBE), using Cu Kα, 1.54184 Å.
Neutral-atom scattering factors, no anomalous dispersion.

Lattice parameters (Å, degrees): 4.0252 4.0252 8.0545 90.00 90.00 90.00
Fractional coordinates of all 8 atoms:
Er 0.0000 0.0000 0.0000
Ti 0.0000 0.0000 0.5000
Pt 0.0000 0.5000 0.2642
Pt 0.0000 0.5000 0.7358
Pt 0.5000 0.0000 0.2642
Pt 0.5000 0.0000 0.7358
Pt 0.5000 0.5000 0.0000
Pt 0.5000 0.5000 0.5000

Largest 6 diffraction maxima, by angle, 10 to 90 degrees two-theta:
2θ (°)  I (rel.)
33.4  5
38.7  100
45.0  49
65.6  31
78.9  37
83.1  11

(4)
The following is a simulated powder diffractogram of Er4Tl3Pt. It was derived from DFT lattice parameters and positions (PBE), using Cu Kα, 1.54184 Å.
Neutral-atom scattering factors, no anomalous dispersion.

Lattice parameters (Å, degrees): 3.5926 3.5926 15.6474 90.00 90.00 90.00
Fractional coordinates of all 8 atoms:
Er 0.0000 0.0000 0.1040
Er 0.0000 0.0000 0.3681
Er 0.0000 0.0000 0.6319
Er 0.0000 0.0000 0.8960
Tl 0.5000 0.5000 0.2399
Tl 0.5000 0.5000 0.5000
Tl 0.5000 0.5000 0.7601
Pt 0.5000 0.5000 0.0000

Largest 6 diffraction maxima, by angle, 10 to 90 degrees two-theta:
2θ (°)  I (rel.)
33.9  100
35.3  49
50.8  18
59.7  15
62.5  35
71.3  13

Please write out number 2 again, unchanged.
The following is a simulated powder diffractogram of ErTh2Pt3. It was derived from DFT lattice parameters and positions (PBE), using Cu Kα, 1.54184 Å.
Neutral-atom scattering factors, no anomalous dispersion.

Lattice parameters (Å, degrees): 13.8636 13.2176 7.1611 79.72 69.73 30.55
Fractional coordinates of all 24 atoms:
Er 0.0418 0.0418 0.2082
Er 0.2082 0.2082 0.0418
Er 0.7918 0.7918 0.9582
Er 0.9582 0.9582 0.7918
Th 0.1265 0.1265 0.6235
Th 0.2923 0.2923 0.4577
Th 0.3765 0.3765 0.8735
Th 0.4577 0.4577 0.2923
Th 0.5423 0.5423 0.7077
Th 0.6235 0.6235 0.1265
Th 0.7077 0.7077 0.5423
Th 0.8735 0.8735 0.3765
Pt 0.0430 0.5394 0.2044
Pt 0.1212 0.6288 0.6288
Pt 0.2044 0.7132 0.0430
Pt 0.2868 0.7956 0.4606
Pt 0.3712 0.8788 0.8788
Pt 0.4606 0.9570 0.2868
Pt 0.5394 0.0430 0.7132
Pt 0.6288 0.1212 0.1212
Pt 0.7132 0.2044 0.5394
Pt 0.7956 0.2868 0.9570
Pt 0.8788 0.3712 0.3712
Pt 0.9570 0.4606 0.7956

Largest 6 diffraction maxima, by angle, 10 to 90 degrees two-theta:
2θ (°)  I (rel.)
30.5  100
43.2  13
43.6  51
53.8  14
54.5  13
72.0  24

What did the first record say?
The following is a simulated powder diffractogram of TbErZnPt. It was derived from DFT lattice parameters and positions (PBE), using Cu Kα, 1.54184 Å.
Neutral-atom scattering factors, no anomalous dispersion.

Lattice parameters (Å, degrees): 3.5435 3.5435 6.9389 90.00 90.00 90.00
Fractional coordinates of all 4 atoms:
Tb 0.0000 0.0000 0.0000
Er 0.0000 0.0000 0.4856
Zn 0.5000 0.5000 0.7373
Pt 0.5000 0.5000 0.2508

Largest 6 diffraction maxima, by angle, 10 to 90 degrees two-theta:
2θ (°)  I (rel.)
12.8  16
35.8  52
36.2  100
51.6  18
64.7  37
65.4  17